This entry pairs a crystal structure of Sc7Sn2Ge2 with its theoretical XRD peak list. Radiation: Cu Kα. Structure: a GGA-PBE-relaxed structure.

Peak list (10 most intense, 10° ≤ 2θ ≤ 80°, by angle)
d_spacing	2θ/deg	I (rel.)
4.001	22.22	86
3.450	25.83	78
2.894	30.90	32
2.621	34.21	25
2.538	35.37	61
2.431	36.98	28
2.271	39.68	100
2.253	40.02	33
2.044	44.32	35
2.013	45.04	31

Structure:
```
Sc7Sn2Ge2
1.0
4.070 -5.076 0.000
4.070 5.076 0.000
0.000 0.000 6.502
Sc Sn Ge
7 2 2
Direct
0.000 0.000 0.000 Sc
0.000 0.500 0.262 Sc
0.000 0.500 0.738 Sc
0.500 0.000 0.262 Sc
0.500 0.000 0.738 Sc
0.500 0.500 0.251 Sc
0.500 0.500 0.749 Sc
0.183 0.183 0.500 Sn
0.817 0.817 0.500 Sn
0.277 0.723 0.000 Ge
0.723 0.277 0.000 Ge
```